Entry 1:
# Dy5NiTe2
Theoretical PXRD pattern, Cu Kα (λ = 1.5418 Å). Input: a crystal structure in Alexandria, relaxed with GGA-PBE.

Structural model:
Cell lengths 8.195, 13.163, 4.013 Å; angles 90.00, 90.00, 90.00 degrees
Space group Pbam (No. 55)
Asymmetric unit:
Dy1 0.000 0.000 0.000 [2 per cell]
Dy2 0.166 0.318 0.000 [4 per cell]
Dy3 0.167 0.584 0.500 [4 per cell]
Ni1 0.000 0.500 0.000 [2 per cell]
Te1 0.037 0.818 0.500 [4 per cell]

The 8 most intense peaks (2θ from 10° to 80°), by intensity:
2theta  intensity  (hkl)
34.11  100  2 2 1
31.95  95  2 1 1
28.23  89  1 2 1
32.14  88  1 3 1
29.24  79  1 4 0
33.50  58  3 1 0
45.18  46  0 0 2
54.73  27  1 4 2



Entry 2:
# Ac2Mg12Cd5
Theoretical PXRD pattern, Cu Kα (λ = 1.5418 Å). Input: a crystal structure in Alexandria, relaxed with GGA-PBE.

Structural model:
Cell lengths 10.3388, 10.3388, 15.1437 Å; angles 90.00, 90.00, 120.00 degrees
Space group R-3m (No. 166, hexagonal axes)
Asymmetric unit:
Ac1 0.0000 0.0000 0.1663 [6 per cell]
Mg1 0.0000 0.2965 0.5000 [18 per cell]
Mg2 0.0028 0.5014 0.6538 [18 per cell]
Cd1 0.0000 0.0000 0.4032 [6 per cell]
Cd2 0.0000 0.5000 0.0000 [9 per cell]

The 8 most intense peaks (2θ from 10° to 80°), by intensity:
2theta  intensity  (hkl)
34.71  100  2 2 0
24.65  88  1 1 3
17.15  82  1 1 0
34.92  74  0 3 3
35.58  57  0 0 6
35.79  49  2 0 5
29.94  49  3 0 0
50.55  40  2 2 6



Entry 3:
# Ba4Cu2Ir
Theoretical PXRD pattern, Cu Kα (λ = 1.5418 Å). Input: a crystal structure in Alexandria, relaxed with GGA-PBE.

Structural model:
Cell lengths 6.264, 6.264, 14.973 Å; angles 90.00, 90.00, 90.00 degrees
Space group I4/mmm (No. 139)
Asymmetric unit:
Ba1 0.000 0.000 0.198 [4 per cell]
Ba2 0.000 0.500 0.000 [4 per cell]
Cu1 0.000 0.000 0.418 [4 per cell]
Ir1 0.000 0.000 0.000 [2 per cell]

The 8 most intense peaks (2θ from 10° to 80°), by intensity:
2theta  intensity  (hkl)
28.50  100  2 0 0
33.16  59  1 0 5
44.28  53  2 1 5
11.82  52  0 0 2
40.75  38  2 2 0
20.05  35  1 1 0
37.44  28  2 0 4
15.33  27  1 0 1



Entry 4:
# ThPd12Au6
Theoretical PXRD pattern, Cu Kα (λ = 1.5418 Å). Input: a crystal structure in Alexandria, relaxed with GGA-PBE.

Structural model:
Cell lengths 12.0052, 12.0052, 8.4902 Å; angles 90.00, 90.00, 120.00 degrees
Space group R-3m (No. 166, hexagonal axes)
Asymmetric unit:
Th1 0.0000 0.0000 0.0000 [3 per cell]
Pd1 0.0000 0.3883 0.5000 [18 per cell]
Pd2 0.0797 0.1594 0.2550 [18 per cell]
Au1 0.0732 0.5366 0.2287 [18 per cell]

The 8 most intense peaks (2θ from 10° to 80°), by intensity:
2theta  intensity  (hkl)
43.52  100  2 3 2
39.23  100  3 2 1
41.18  85  0 3 3
24.97  78  2 1 1
32.80  52  1 3 1
46.20  47  0 2 4
48.77  44  5 0 2
78.62  39  3 5 4



Entry 5:
# SbPbIO2
Theoretical PXRD pattern, Cu Kα (λ = 1.5418 Å). Input: a crystal structure in Alexandria, relaxed with GGA-PBE.

Structural model:
Cell lengths 3.977, 3.977, 14.019 Å; angles 90.00, 90.00, 90.00 degrees
Space group I4mm (No. 107)
Asymmetric unit:
Sb1 0.000 0.000 0.000 [2 per cell]
Pb1 0.000 0.000 0.327 [2 per cell]
I1 0.000 0.000 0.675 [2 per cell]
O1 0.000 0.500 0.433 [4 per cell]

The 8 most intense peaks (2θ from 10° to 80°), by intensity:
2theta  intensity  (hkl)
29.49  100  1 0 3
31.82  35  1 1 0
55.27  34  2 1 3
50.81  24  1 1 6
45.63  18  2 0 0
61.21  11  2 0 6
38.53  10  0 0 6
64.22  10  1 0 9



Entry 6:
# Tb9Y3Er2
Theoretical PXRD pattern, Cu Kα (λ = 1.5418 Å). Input: a crystal structure in Alexandria, relaxed with GGA-PBE.

Structural model:
Cell lengths 6.246, 8.683, 8.770 Å; angles 80.00, 77.24, 87.96 degrees
Space group P-1 (No. 2)
Asymmetric unit:
Tb1 0.000 0.000 0.000 [1 per cell]
Tb2 0.091 0.312 0.197 [2 per cell]
Tb3 0.197 0.613 0.399 [2 per cell]
Tb4 0.346 0.668 0.996 [2 per cell]
Tb5 0.495 0.241 0.417 [2 per cell]
Y1 0.000 0.000 0.500 [1 per cell]
Y2 0.246 0.376 0.775 [2 per cell]
Er1 0.447 0.967 0.199 [2 per cell]

The 8 most intense peaks (2θ from 10° to 80°), by intensity:
2theta  intensity  (hkl)
31.40  100  1 1 -2
31.99  37  1 1 3
34.81  27  2 2 1
33.01  23  -1 2 2
31.15  21  2 -1 0
33.48  20  1 -2 2
52.20  10  2 -4 0
54.42  9  0 0 5



Entry 7:
# PmNd4Al2
Theoretical PXRD pattern, Cu Kα (λ = 1.5418 Å). Input: a crystal structure in Alexandria, relaxed with GGA-PBE.

Structural model:
Cell lengths 5.413, 12.252, 6.358 Å; angles 90.00, 90.02, 90.00 degrees
Space group P2_1/c (No. 14)
Asymmetric unit:
Pm1 0.000 0.000 0.000 [2 per cell]
Nd1 0.001 0.151 0.503 [4 per cell]
Nd2 0.499 0.671 0.358 [4 per cell]
Al1 0.499 0.561 0.821 [4 per cell]

The 8 most intense peaks (2θ from 10° to 80°), by intensity:
2theta  intensity  (hkl)
30.82  100  1 3 -1
33.10  33  2 0 0
32.67  32  1 0 2
48.39  20  0 3 3
59.88  20  2 3 3
57.71  17  3 3 -1
33.50  14  1 1 -2
29.02  12  0 1 2